No. 1
For Nd7Ho3Tl, a cell relaxed with GGA-PBE gives the theoretical X-ray diffraction stick pattern in this record (Cu Kα, 1.54184 Å).
No peak broadening, texture or thermal motion is included.

Atomic structure:
a = 7.1106 Å, b = 7.1106 Å, c = 8.6328 Å
α = 90.00°, β = 90.00°, γ = 120.00°
Space group P3m1 (No. 156)
One atom of each set of equivalent atoms:
Nd (0.0000, 0.0000, 0.0000) (multiplicity 1)
Nd (0.0042, 0.5021, 0.9935) (multiplicity 3)
Nd (0.3285, 0.1642, 0.6593) (multiplicity 3)
Ho (0.1660, 0.3320, 0.3288) (multiplicity 3)
Tl (0.3333, 0.6667, 0.6482) (multiplicity 1)

Main lines, in order of rising 2θ (10° ≤ 2θ ≤ 90°):
2θ/deg  intensity  hkl
30.83  1000  0 2 1
31.08  322  0 0 3
35.82  667  2 0 2
51.40  239  2 2 0
51.73  235  0 2 4
61.29  279  2 2 3



No. 2
For La5Y2HoEr, a cell relaxed with GGA-PBE gives the theoretical X-ray diffraction stick pattern in this record (Cu Kα, 1.54184 Å).
No peak broadening, texture or thermal motion is included.

Atomic structure:
a = 8.723 Å, b = 8.723 Å, c = 16.838 Å
α = 90.00°, β = 90.00°, γ = 90.00°
Space group I4/mcm (No. 140)
One atom of each set of equivalent atoms:
La (0.000, 0.000, 0.000) (multiplicity 4)
La (0.216, 0.284, 0.145) (multiplicity 16)
Y (0.122, 0.378, 0.500) (multiplicity 8)
Ho (0.000, 0.000, 0.250) (multiplicity 4)
Er (0.000, 0.500, 0.250) (multiplicity 4)

Main lines, in order of rising 2θ (10° ≤ 2θ ≤ 90°):
2θ/deg  intensity  hkl
27.85  313  2 1 3
28.95  536  2 2 0
29.49  1000  2 0 4
38.13  170  2 0 6
51.65  280  4 2 4
52.65  120  2 2 8



No. 3
For SrMg2Ag, a cell relaxed with GGA-PBE gives the theoretical X-ray diffraction stick pattern in this record (Cu Kα, 1.54184 Å).
No peak broadening, texture or thermal motion is included.

Atomic structure:
a = 4.461 Å, b = 4.461 Å, c = 11.253 Å
α = 90.00°, β = 90.00°, γ = 90.00°
Space group P4/nmm (No. 129, origin choice 2)
One atom of each set of equivalent atoms:
Sr (0.250, 0.250, 0.239) (multiplicity 2)
Mg (0.250, 0.250, 0.927) (multiplicity 2)
Mg (0.250, 0.750, 0.500) (multiplicity 2)
Ag (0.250, 0.250, 0.663) (multiplicity 2)

Main lines, in order of rising 2θ (10° ≤ 2θ ≤ 90°):
2θ/deg  intensity  hkl
15.75  457  0 0 2
25.48  541  1 0 2
28.29  1000  1 1 0
31.15  558  1 0 3
32.54  760  1 1 2
40.44  594  2 0 0



No. 4
For LaMgS2N, a cell relaxed with GGA-PBE gives the theoretical X-ray diffraction stick pattern in this record (Cu Kα, 1.54184 Å).
No peak broadening, texture or thermal motion is included.

Atomic structure:
a = 4.907 Å, b = 4.907 Å, c = 4.056 Å
α = 90.00°, β = 90.00°, γ = 90.00°
Space group P4/mmm (No. 123)
One atom of each set of equivalent atoms:
La (0.000, 0.000, 0.000) (multiplicity 1)
Mg (0.500, 0.500, 0.500) (multiplicity 1)
S (0.000, 0.500, 0.500) (multiplicity 2)
N (0.500, 0.500, 0.000) (multiplicity 1)

Main lines, in order of rising 2θ (10° ≤ 2θ ≤ 90°):
2θ/deg  intensity  hkl
18.08  585  1 0 0
25.67  334  1 1 0
28.55  955  1 0 1
34.00  1000  1 1 1
36.62  652  2 0 0
47.08  496  2 1 1